Record 1
Diffraction record for RbTc2Ir2. The PXRD pattern is computed, not measured: it uses a crystal structure in Alexandria, relaxed with GGA-PBE and CuKα.
Lines closer than 0.1° are merged.

Peak list (12 most intense, 10 to 90 degrees two-theta, in order of rising 2θ)
2θ/deg  intensity
15.46  27
24.56  26
35.02  60
39.75  27
41.35  100
46.19  19
47.61  12
57.76  12
58.98  16
68.25  12
71.56  17
79.40  12

abc: 8.1033 8.1033 2.7362
angles: 90.00 90.00 90.00
Positions (direct):
Rb 0.0000 0.0000 0.0000
Rb 0.5000 0.5000 0.0000
Tc 0.1147 0.3853 0.0000
Tc 0.3853 0.8853 0.0000
Tc 0.6147 0.1147 0.0000
Tc 0.8853 0.6147 0.0000
Ir 0.1640 0.6640 0.5000
Ir 0.3360 0.1640 0.5000
Ir 0.6640 0.8360 0.5000
Ir 0.8360 0.3360 0.5000

Record 2
Diffraction record for Re5Ir. The PXRD pattern is computed, not measured: it uses a crystal structure in Alexandria, relaxed with GGA-PBE and CuKα.
Lines closer than 0.1° are merged.

Peak list (12 most intense, 10 to 90 degrees two-theta, in order of rising 2θ)
2θ/deg  intensity
37.35  24
40.71  25
42.73  100
56.43  15
67.29  12
67.48  6
75.49  19
81.72  14
81.90  7
82.98  5
83.22  10
88.16  3

abc: 4.4326 7.3677 7.3677
angles: 21.72 90.00 90.00
Positions (direct):
Re 0.0000 0.0000 0.0000
Re 0.0000 0.3325 0.3325
Re 0.0000 0.6657 0.6657
Re 0.5000 0.1102 0.1102
Re 0.5000 0.4423 0.4423
Ir 0.5000 0.7783 0.7783

Record 3
Diffraction record for Re2Ir3. The PXRD pattern is computed, not measured: it uses a crystal structure in Alexandria, relaxed with GGA-PBE and CuKα.
Lines closer than 0.1° are merged.

Peak list (12 most intense, 10 to 90 degrees two-theta, in order of rising 2θ)
2θ/deg  intensity
38.63  32
39.79  100
40.09  21
41.00  19
42.57  73
48.77  43
56.89  10
69.47  19
73.61  20
74.21  13
76.04  11
82.62  19

abc: 7.1086 5.2365 8.1591
angles: 59.43 39.36 81.21
Positions (direct):
Re 0.0181 0.4819 0.0746
Re 0.1754 0.8246 0.2319
Re 0.4819 0.0181 0.4254
Re 0.8246 0.1754 0.7681
Ir 0.0388 0.0388 0.9612
Ir 0.2888 0.2888 0.2112
Ir 0.4536 0.5850 0.3426
Ir 0.5850 0.4536 0.6187
Ir 0.6313 0.9074 0.6650
Ir 0.9074 0.6313 0.7964